Starting from a structure optimized by DFT (GGA-PBE), the X-ray powder pattern of Pr5Zn2Pb was computed for Cu Ka.

Structural model:
Cell lengths 8.565, 8.565, 13.145 Å; angles 90.00, 90.00, 90.00 degrees
Space group I4/mcm (No. 140)
Inequivalent atoms, fractional coordinates:
Pr: 0.000 0.000 0.000
Pr: 0.153 0.347 0.144
Zn: 0.143 0.357 0.500
Pb: 0.000 0.000 0.250

Principal peaks in the range 2θ = 10–80°, by angle:
| 2theta | I_rel |
| --- | --- |
| 24.20 | 13.2 |
| 29.50 | 13.8 |
| 31.00 | 100.0 |
| 33.07 | 63.9 |
| 34.40 | 24.7 |
| 47.47 | 11.7 |
| 50.90 | 12.7 |
| 53.25 | 14.9 |
| 62.08 | 20.3 |
| 66.56 | 11.2 |

Starting from a structure optimized by DFT (GGA-PBE), the X-ray powder pattern of PtPb6 was computed for Cu Ka.

Structural model:
Cell lengths 10.4647, 10.4647, 6.7048 Å; angles 90.00, 90.00, 120.00 degrees
Space group R-3 (No. 148, hexagonal axes)
Inequivalent atoms, fractional coordinates:
Pt: 0.0000 0.0000 0.0000
Pb: 0.0132 0.8108 0.7095

Principal peaks in the range 2θ = 10–80°, by angle:
| 2theta | I_rel |
| --- | --- |
| 28.39 | 9.7 |
| 29.28 | 100.0 |
| 37.54 | 41.7 |
| 38.24 | 16.2 |
| 40.36 | 9.1 |
| 45.89 | 24.7 |
| 53.96 | 10.0 |
| 55.37 | 9.0 |
| 62.73 | 11.4 |
| 64.02 | 9.0 |

Starting from a structure optimized by DFT (GGA-PBE), the X-ray powder pattern of Pt8Pb was computed for Cu Ka.

Structural model:
Cell lengths 10.295, 10.295, 2.834 Å; angles 90.00, 90.00, 90.00 degrees
Space group I4/mmm (No. 139)
Inequivalent atoms, fractional coordinates:
Pt: 0.000 0.335 0.000
Pt: 0.169 0.169 0.500
Pb: 0.000 0.000 0.000

Principal peaks in the range 2θ = 10–80°, by angle:
| 2theta | I_rel |
| --- | --- |
| 37.05 | 67.3 |
| 41.32 | 100.0 |
| 53.39 | 23.9 |
| 65.93 | 6.4 |
| 69.68 | 43.5 |
| 78.11 | 16.0 |
| 78.90 | 7.8 |

Starting from a structure optimized by DFT (GGA-PBE), the X-ray powder pattern of PtPb4 was computed for Cu Ka.

Structural model:
Cell lengths 6.811, 6.811, 6.067 Å; angles 90.00, 90.00, 90.00 degrees
Space group P4/nbm (No. 125, origin choice 2)
Inequivalent atoms, fractional coordinates:
Pt: 0.250 0.250 0.000
Pb: 0.077 0.577 0.252

Principal peaks in the range 2θ = 10–80°, by angle:
| 2theta | I_rel |
| --- | --- |
| 23.59 | 12.1 |
| 29.44 | 18.3 |
| 32.90 | 100.0 |
| 34.96 | 16.2 |
| 39.80 | 36.4 |
| 41.95 | 23.7 |
| 54.46 | 24.7 |
| 57.85 | 26.6 |
| 65.82 | 19.8 |
| 74.11 | 13.2 |

Starting from a structure optimized by DFT (GGA-PBE), the X-ray powder pattern of Pt4Pb3 was computed for Cu Ka.

Structural model:
Cell lengths 3.548, 3.548, 23.796 Å; angles 90.00, 90.00, 90.00 degrees
Space group I4/mmm (No. 139)
Inequivalent atoms, fractional coordinates:
Pt: 0.000 0.000 0.064
Pt: 0.000 0.000 0.375
Pb: 0.000 0.000 0.188
Pb: 0.000 0.000 0.500

Principal peaks in the range 2θ = 10–80°, by angle:
| 2theta | I_rel |
| --- | --- |
| 31.45 | 10.9 |
| 35.79 | 96.5 |
| 36.61 | 100.0 |
| 42.65 | 59.7 |
| 51.51 | 34.8 |
| 62.44 | 9.8 |
| 64.84 | 37.7 |
| 69.03 | 28.0 |
| 74.11 | 27.0 |
| 75.83 | 11.4 |

Starting from a structure optimized by DFT (GGA-PBE), the X-ray powder pattern of Pu11Pt4Pb9 was computed for Cu Ka.

Structural model:
Cell lengths 14.944, 22.527, 3.733 Å; angles 90.00, 90.00, 90.00 degrees
Space group Cmmm (No. 65)
Inequivalent atoms, fractional coordinates:
Pu: 0.000 0.000 0.000
Pu: 0.000 0.155 0.000
Pu: 0.000 0.372 0.000
Pu: 0.190 0.500 0.000
Pu: 0.242 0.172 0.000
Pt: 0.150 0.400 0.500
Pb: 0.000 0.500 0.500
Pb: 0.107 0.260 0.500
Pb: 0.145 0.073 0.500

Principal peaks in the range 2θ = 10–80°, by angle:
| 2theta | I_rel |
| --- | --- |
| 31.14 | 11.9 |
| 32.25 | 16.8 |
| 33.86 | 100.0 |
| 33.96 | 60.6 |
| 36.05 | 17.8 |
| 36.39 | 9.3 |
| 36.96 | 11.7 |
| 48.78 | 23.8 |
| 60.70 | 24.0 |
| 71.46 | 8.6 |

Starting from a structure optimized by DFT (GGA-PBE), the X-ray powder pattern of Pu12Pt5Pb was computed for Cu Ka.

Structural model:
Cell lengths 8.673, 9.228, 11.225 Å; angles 90.00, 90.00, 90.00 degrees
Space group Immm (No. 71)
Inequivalent atoms, fractional coordinates:
Pu: 0.000 0.207 0.179
Pu: 0.185 0.218 0.500
Pu: 0.188 0.500 0.265
Pt: 0.000 0.000 0.369
Pt: 0.000 0.500 0.500
Pt: 0.158 0.000 0.000
Pb: 0.000 0.500 0.000

Principal peaks in the range 2θ = 10–80°, by angle:
| 2theta | I_rel |
| --- | --- |
| 31.91 | 19.2 |
| 32.51 | 100.0 |
| 36.28 | 42.2 |
| 36.70 | 13.9 |
| 37.57 | 29.5 |
| 37.86 | 12.2 |
| 38.20 | 11.8 |
| 39.04 | 22.1 |
| 61.89 | 20.8 |
| 62.34 | 11.2 |

Starting from a structure optimized by DFT (GGA-PBE), the X-ray powder pattern of Pu7Pt4Pb was computed for Cu Ka.

Structural model:
Cell lengths 12.207, 5.839, 9.500 Å; angles 90.00, 121.41, 90.00 degrees
Space group C2/m (No. 12)
Inequivalent atoms, fractional coordinates:
Pu: 0.000 0.000 0.000
Pu: 0.003 0.500 0.346
Pu: 0.210 0.000 0.630
Pu: 0.246 0.500 0.976
Pt: 0.012 0.000 0.706
Pt: 0.247 0.000 0.341
Pb: 0.000 0.500 0.000

Principal peaks in the range 2θ = 10–80°, by angle:
| 2theta | I_rel |
| --- | --- |
| 30.62 | 70.7 |
| 33.10 | 100.0 |
| 34.43 | 45.4 |
| 45.71 | 83.3 |
| 46.74 | 39.4 |
| 58.28 | 9.7 |
| 67.27 | 10.5 |
| 69.58 | 13.2 |
| 73.75 | 20.9 |
| 74.51 | 10.2 |